Entry 1:
Theoretical X-ray powder pattern
Compound: NaGe4Pd4
Radiation: λ = 1.5418 Å (Cu Kα)
Structure: the GGA-PBE geometry in Alexandria
Intensities are scaled so that the largest is 100.

Largest 10 diffraction maxima, most intense first, 15° ≤ 2θ ≤ 90°:
| d_spacing | 2theta | I/Imax |
| --- | --- | --- |
| 2.143 | 42.17 | 100.0 |
| 2.719 | 32.94 | 66.9 |
| 2.440 | 36.83 | 62.5 |
| 1.918 | 47.40 | 45.9 |
| 1.816 | 50.23 | 39.8 |
| 2.150 | 42.03 | 30.5 |
| 1.148 | 84.37 | 28.6 |
| 2.265 | 39.80 | 26.2 |
| 1.613 | 57.10 | 24.4 |
| 1.344 | 70.01 | 21.5 |

Cell and atoms:
```
NaGe4Pd4
1.0
-4.299 4.299 2.440
4.299 -4.299 2.440
4.299 4.299 -2.440
Na Ge Pd
1 4 4
direct
0.000 0.000 0.000
0.189 0.331 0.520
0.331 0.811 0.142
0.669 0.189 0.858
0.811 0.669 0.480
0.110 0.620 0.729
0.380 0.110 0.490
0.620 0.890 0.510
0.890 0.380 0.271
```

Entry 2:
Theoretical X-ray powder pattern
Compound: Tl2ZnGeS4
Radiation: λ = 1.5418 Å (Cu Kα)
Structure: the GGA-PBE geometry in Alexandria
Intensities are scaled so that the largest is 100.

Largest 10 diffraction maxima, most intense first, 15° ≤ 2θ ≤ 90°:
| d_spacing | 2theta | I/Imax |
| --- | --- | --- |
| 3.800 | 23.41 | 100.0 |
| 3.062 | 29.17 | 71.0 |
| 3.184 | 28.03 | 63.0 |
| 3.492 | 25.51 | 57.0 |
| 5.284 | 16.78 | 51.7 |
| 2.417 | 37.20 | 43.0 |
| 1.925 | 47.22 | 39.0 |
| 2.672 | 33.54 | 30.9 |
| 2.353 | 38.26 | 29.2 |
| 4.735 | 18.74 | 24.5 |

Cell and atoms:
```
Tl2ZnGeS4
1.0
7.514 0.000 0.000
0.000 9.470 0.000
0.000 0.000 6.367
Tl Zn Ge S
4 2 2 8
direct
0.241 0.165 0.000
0.259 0.835 0.500
0.741 0.835 0.500
0.759 0.165 0.000
0.000 0.386 0.454
0.500 0.614 0.954
0.000 0.625 0.948
0.500 0.375 0.448
0.000 0.407 0.081
0.000 0.613 0.594
0.242 0.752 0.035
0.258 0.248 0.535
0.500 0.387 0.094
0.500 0.593 0.581
0.742 0.248 0.535
0.758 0.752 0.035
```